(1)
Starting from DFT lattice parameters and positions (PBE+U), the powder diffractogram of Dy2CoO4 was calculated for Cu Kα.

Lattice parameters (Å, degrees): 9.268 9.268 9.268 90.00 90.00 90.00
Space group Fd-3m (No. 227, origin choice 2)
Inequivalent atoms, fractional coordinates:
Dy 0.000 0.000 0.000
Co 0.125 0.125 0.625
O 0.005 0.005 0.245

Principal peaks in the range 2θ from 10° to 80°, sorted by position:
Position (°2θ), d (Å), intensity, (hkl)
16.6, 5.351, 56, 1 1 1
32.0, 2.794, 100, 3 1 1
33.5, 2.675, 46, 2 2 2
38.9, 2.317, 37, 4 0 0
51.2, 1.784, 37, 5 1 1
56.1, 1.638, 46, 4 4 0
67.0, 1.397, 22, 6 2 2
79.4, 1.207, 21, 5 5 3

(2)
Starting from DFT lattice parameters and positions (PBE+U), the powder diffractogram of Dy2CoTe2S2O14 was calculated for Cu Kα.

Lattice parameters (Å, degrees): 5.225 7.727 7.983 63.59 73.13 85.56
Space group P-1 (No. 2)
Inequivalent atoms, fractional coordinates:
Dy 0.071 0.252 0.017
Co 0.000 0.000 0.500
Te 0.495 0.732 0.651
S 0.248 0.749 0.255
O 0.116 0.583 0.260
O 0.137 0.767 0.439
O 0.188 0.923 0.087
O 0.249 0.562 0.891
O 0.263 0.936 0.663
O 0.272 0.193 0.246
O 0.461 0.273 0.776

Principal peaks in the range 2θ from 10° to 80°, sorted by position:
Position (°2θ), d (Å), intensity, (hkl)
13.6, 6.515, 59, 0 1 1
18.8, 4.730, 39, 1 0 1
24.9, 3.576, 68, 1 0 -1
25.0, 3.560, 75, 1 1 2
25.8, 3.454, 100, 0 2 0
27.0, 3.299, 48, 1 0 2
30.7, 2.916, 73, -1 2 1
35.8, 2.509, 42, 1 0 -2